1.
K2PdF4: theoretical XRD peak list (Cu Ka), based on a GGA-PBE-relaxed structure.

Atomic structure:
```
data_K2PdF4
_chemical_formula_sum 'K4 Pd2 F8'
_cell_length_a 9.9675
_cell_length_b 6.0430
_cell_length_c 4.3274
_cell_angle_alpha 90.00
_cell_angle_beta 92.95
_cell_angle_gamma 90.00
_space_group_name_H-M_alt 'C 1 2/m 1'
_space_group_IT_number 12
_space_group_name_Hall '-C 2y'
loop_
_atom_site_label
_atom_site_type_symbol
_atom_site_fract_x
_atom_site_fract_y
_atom_site_fract_z
K1 K 0.1551 0.0000 0.2225
Pd1 Pd 0.0000 0.5000 0.5000
F1 F 0.1102 0.2630 0.7151
```

Largest 10 diffraction maxima, sorted by position, 10 to 80 degrees two-theta:
Position (°2θ)  I/Imax  index
17.17  29  1 1 0
17.82  26  2 0 0
20.55  27  0 0 1
26.55  100  1 1 -1
28.03  13  2 0 1
30.74  54  3 1 0
36.45  14  3 1 -1
40.90  12  4 0 -1
41.19  46  2 2 1
45.96  15  1 1 2

---

2.
EuY2O4: theoretical XRD peak list (Cu Ka), based on a GGA-PBE-relaxed structure.

Atomic structure:
```
data_EuY2O4
_chemical_formula_sum 'Eu4 Y8 O16'
_cell_length_a 10.1660
_cell_length_b 3.4219
_cell_length_c 11.9978
_cell_angle_alpha 90.00
_cell_angle_beta 90.18
_cell_angle_gamma 90.00
_space_group_name_H-M_alt 'P 1 21/m 1'
_space_group_IT_number 11
_space_group_name_Hall '-P 2yb'
loop_
_atom_site_label
_atom_site_type_symbol
_atom_site_fract_x
_atom_site_fract_y
_atom_site_fract_z
Eu1 Eu 0.2449 0.2500 0.3507
Eu2 Eu 0.2538 0.7500 0.8475
Y1 Y 0.0756 0.2500 0.1121
Y2 Y 0.0789 0.2500 0.6087
Y3 Y 0.4213 0.7500 0.1085
Y4 Y 0.4272 0.7500 0.6118
O1 O 0.0212 0.7500 0.7166
O2 O 0.0802 0.2500 0.9223
O3 O 0.1244 0.7500 0.4758
O4 O 0.2100 0.7500 0.1768
O5 O 0.2917 0.2500 0.6727
O6 O 0.3741 0.2500 0.9763
O7 O 0.4204 0.7500 0.4218
O8 O 0.4845 0.2500 0.2141
```

Largest 10 diffraction maxima, sorted by position, 10 to 80 degrees two-theta:
Position (°2θ)  I/Imax  index
27.10  20  0 1 1
29.79  46  0 0 4
30.29  100  3 0 -2
31.36  38  1 1 2
31.52  21  2 1 0
32.41  17  2 1 -1
35.64  43  1 1 -3
38.12  17  3 1 -1
43.89  31  2 1 -4
62.78  25  3 2 -2